1.
Diffraction record for Cs4Ho3AlO8. The X-ray diffraction stick pattern is calculated, not measured: it uses DFT lattice parameters and positions (PBE) and Cu Kα X-rays.
Neutral-atom scattering factors, no anomalous dispersion.

Crystal structure
Lattice parameters (Å, degrees): 7.897 7.897 7.897 51.79 51.79 51.79
Positions (direct):
Cs1 0.000 0.000 0.000
Cs2 0.000 0.500 0.500
Cs3 0.500 0.000 0.500
Cs4 0.500 0.500 0.000
Ho1 0.000 0.000 0.500
Ho2 0.000 0.500 0.000
Ho3 0.500 0.000 0.000
Al1 0.500 0.500 0.500
O1 0.221 0.221 0.221
O2 0.245 0.706 0.706
O3 0.294 0.294 0.755
O4 0.294 0.755 0.294
O5 0.706 0.245 0.706
O6 0.706 0.706 0.245
O7 0.755 0.294 0.294
O8 0.779 0.779 0.779

Principal peaks in the range 2θ = 10–90°, by intensity:
| d [Å] | I (rel.) |
| --- | --- |
| 2.579 | 100.0 |
| 2.867 | 86.8 |
| 3.410 | 52.7 |
| 1.943 | 36.6 |
| 1.539 | 31.7 |
| 1.724 | 30.3 |
| 1.688 | 24.9 |
| 1.434 | 15.4 |



2.
Diffraction record for Cs2Al2I7. The X-ray diffraction stick pattern is calculated, not measured: it uses DFT lattice parameters and positions (PBE) and Cu Kα X-rays.
Neutral-atom scattering factors, no anomalous dispersion.

Crystal structure
Lattice parameters (Å, degrees): 7.270 18.138 9.584 90.00 102.38 90.00
Positions (direct):
Cs1 0.143 0.152 0.461
Cs2 0.143 0.348 0.961
Cs3 0.857 0.652 0.039
Cs4 0.857 0.848 0.539
Al1 0.312 0.606 0.626
Al2 0.312 0.894 0.126
Al3 0.688 0.106 0.874
Al4 0.688 0.394 0.374
I1 0.011 0.143 0.036
I2 0.011 0.357 0.536
I3 0.250 0.557 0.871
I4 0.250 0.943 0.371
I5 0.498 0.729 0.701
I6 0.498 0.771 0.201
I7 0.500 0.000 0.000
I8 0.500 0.500 0.500
I9 0.502 0.229 0.799
I10 0.502 0.271 0.299
I11 0.750 0.057 0.629
I12 0.750 0.443 0.129
I13 0.989 0.643 0.464
I14 0.989 0.857 0.964

Principal peaks in the range 2θ = 10–90°, by intensity:
| d [Å] | I (rel.) |
| --- | --- |
| 3.822 | 100.0 |
| 3.929 | 83.1 |
| 3.512 | 61.3 |
| 3.694 | 57.4 |
| 2.538 | 49.4 |
| 3.572 | 49.1 |
| 4.955 | 40.9 |
| 2.100 | 35.4 |



3.
Diffraction record for CsKAl2I8. The X-ray diffraction stick pattern is calculated, not measured: it uses DFT lattice parameters and positions (PBE) and Cu Kα X-rays.
Neutral-atom scattering factors, no anomalous dispersion.

Crystal structure
Lattice parameters (Å, degrees): 12.119 12.119 12.119 37.63 37.63 37.63
Positions (direct):
Cs1 0.000 0.000 0.000
K1 0.500 0.500 0.500
Al1 0.255 0.255 0.255
Al2 0.745 0.745 0.745
I1 0.056 0.438 0.815
I2 0.185 0.944 0.562
I3 0.331 0.331 0.331
I4 0.438 0.815 0.056
I5 0.562 0.185 0.944
I6 0.669 0.669 0.669
I7 0.815 0.056 0.438
I8 0.944 0.562 0.185

Principal peaks in the range 2θ = 10–90°, by intensity:
| d [Å] | I (rel.) |
| --- | --- |
| 3.692 | 100.0 |
| 3.209 | 72.8 |
| 3.749 | 32.3 |
| 2.283 | 27.3 |
| 2.256 | 27.3 |
| 1.933 | 21.5 |
| 1.950 | 16.1 |
| 1.925 | 11.4 |



4.
Diffraction record for Cs2AlSI6. The X-ray diffraction stick pattern is calculated, not measured: it uses DFT lattice parameters and positions (PBE) and Cu Kα X-rays.
Neutral-atom scattering factors, no anomalous dispersion.

Crystal structure
Lattice parameters (Å, degrees): 8.574 8.574 8.574 123.74 123.74 83.64
Positions (direct):
Cs1 0.250 0.750 0.500
Cs2 0.750 0.250 0.500
Al1 0.000 0.000 0.000
S1 0.500 0.500 0.000
I1 0.215 0.215 0.000
I2 0.254 0.254 0.507
I3 0.254 0.746 0.000
I4 0.746 0.254 0.000
I5 0.746 0.746 0.493
I6 0.785 0.785 0.000

Principal peaks in the range 2θ = 10–90°, by intensity:
| d [Å] | I (rel.) |
| --- | --- |
| 3.416 | 100.0 |
| 2.859 | 41.8 |
| 2.130 | 30.2 |
| 1.740 | 28.3 |
| 3.195 | 23.6 |
| 1.708 | 15.6 |
| 2.021 | 15.1 |
| 1.884 | 12.3 |



5.
Diffraction record for Cs2AlTcI6. The X-ray diffraction stick pattern is calculated, not measured: it uses DFT lattice parameters and positions (PBE) and Cu Kα X-rays.
Neutral-atom scattering factors, no anomalous dispersion.

Crystal structure
Lattice parameters (Å, degrees): 8.316 8.316 8.316 119.97 119.97 90.05
Positions (direct):
Cs1 0.250 0.750 0.500
Cs2 0.750 0.250 0.500
Al1 0.000 0.000 0.000
Tc1 0.500 0.500 0.000
I1 0.262 0.262 0.000
I2 0.263 0.263 0.525
I3 0.263 0.737 0.000
I4 0.737 0.263 0.000
I5 0.737 0.737 0.475
I6 0.738 0.738 0.000

Principal peaks in the range 2θ = 10–90°, by intensity:
| d [Å] | I (rel.) |
| --- | --- |
| 3.395 | 100.0 |
| 2.940 | 85.4 |
| 2.079 | 61.3 |
| 1.773 | 43.2 |
| 1.315 | 25.8 |
| 1.698 | 21.0 |
| 1.200 | 18.9 |
| 1.349 | 16.5 |



6.
Diffraction record for CsAl2TlI8. The X-ray diffraction stick pattern is calculated, not measured: it uses DFT lattice parameters and positions (PBE) and Cu Kα X-rays.
Neutral-atom scattering factors, no anomalous dispersion.

Crystal structure
Lattice parameters (Å, degrees): 12.107 12.107 12.107 37.35 37.35 37.35
Positions (direct):
Cs1 0.000 0.000 0.000
Al1 0.254 0.254 0.254
Al2 0.746 0.746 0.746
Tl1 0.500 0.500 0.500
I1 0.063 0.439 0.809
I2 0.191 0.937 0.561
I3 0.330 0.330 0.330
I4 0.439 0.809 0.063
I5 0.561 0.191 0.937
I6 0.670 0.670 0.670
I7 0.809 0.063 0.439
I8 0.937 0.561 0.191

Principal peaks in the range 2θ = 10–90°, by intensity:
| d [Å] | I (rel.) |
| --- | --- |
| 3.192 | 100.0 |
| 3.665 | 77.1 |
| 2.238 | 36.9 |
| 2.276 | 36.9 |
| 3.750 | 23.5 |
| 5.254 | 17.0 |
| 1.833 | 16.3 |
| 1.922 | 15.5 |



7.
Diffraction record for Cs2AlZnI6. The X-ray diffraction stick pattern is calculated, not measured: it uses DFT lattice parameters and positions (PBE) and Cu Kα X-rays.
Neutral-atom scattering factors, no anomalous dispersion.

Crystal structure
Lattice parameters (Å, degrees): 8.276 8.276 8.276 120.21 120.21 89.64
Positions (direct):
Cs1 0.250 0.750 0.500
Cs2 0.750 0.250 0.500
Al1 0.000 0.000 0.000
Zn1 0.500 0.500 0.000
I1 0.243 0.243 0.000
I2 0.245 0.245 0.490
I3 0.245 0.755 0.000
I4 0.755 0.245 0.000
I5 0.755 0.755 0.510
I6 0.757 0.757 0.000

Principal peaks in the range 2θ = 10–90°, by intensity:
| d [Å] | I (rel.) |
| --- | --- |
| 3.375 | 100.0 |
| 2.917 | 50.3 |
| 2.069 | 37.0 |
| 1.760 | 30.0 |
| 2.935 | 25.5 |
| 1.688 | 19.2 |
| 2.063 | 18.3 |
| 1.768 | 15.1 |



8.
Diffraction record for Cs2AlIn7. The X-ray diffraction stick pattern is calculated, not measured: it uses DFT lattice parameters and positions (PBE) and Cu Kα X-rays.
Neutral-atom scattering factors, no anomalous dispersion.

Crystal structure
Lattice parameters (Å, degrees): 5.067 5.067 12.757 90.00 90.00 90.00
Positions (direct):
Cs1 0.000 0.500 0.246
Cs2 0.500 0.000 0.754
Al1 0.500 0.500 0.000
In1 0.000 0.000 0.000
In2 0.000 0.000 0.500
In3 0.000 0.500 0.636
In4 0.000 0.500 0.874
In5 0.500 0.000 0.126
In6 0.500 0.000 0.364
In7 0.500 0.500 0.500

Principal peaks in the range 2θ = 10–90°, by intensity:
| d [Å] | I (rel.) |
| --- | --- |
| 3.124 | 100.0 |
| 3.257 | 76.5 |
| 2.534 | 76.2 |
| 2.279 | 38.0 |
| 2.000 | 38.0 |
| 2.382 | 35.1 |
| 1.694 | 29.8 |
| 1.792 | 26.3 |



9.
Diffraction record for Cs2AlInO4. The X-ray diffraction stick pattern is calculated, not measured: it uses DFT lattice parameters and positions (PBE) and Cu Kα X-rays.
Neutral-atom scattering factors, no anomalous dispersion.

Crystal structure
Lattice parameters (Å, degrees): 12.915 11.549 6.934 84.74 62.94 32.32
Positions (direct):
Cs1 0.051 0.051 0.699
Cs2 0.301 0.301 0.949
Cs3 0.699 0.699 0.051
Cs4 0.949 0.949 0.301
Al1 0.375 0.375 0.375
Al2 0.625 0.625 0.625
In1 0.125 0.125 0.125
In2 0.875 0.875 0.875
O1 0.039 0.629 0.548
O2 0.284 0.548 0.629
O3 0.371 0.961 0.716
O4 0.452 0.716 0.961
O5 0.548 0.284 0.039
O6 0.629 0.039 0.284
O7 0.716 0.452 0.371
O8 0.961 0.371 0.452

Principal peaks in the range 2θ = 10–90°, by intensity:
| d [Å] | I (rel.) |
| --- | --- |
| 3.228 | 100.0 |
| 4.869 | 59.8 |
| 2.684 | 48.0 |
| 2.494 | 45.5 |
| 3.192 | 44.6 |
| 3.337 | 43.4 |
| 1.808 | 36.7 |
| 3.310 | 35.1 |



10.
Diffraction record for CsAlTe2Ir. The X-ray diffraction stick pattern is calculated, not measured: it uses DFT lattice parameters and positions (PBE) and Cu Kα X-rays.
Neutral-atom scattering factors, no anomalous dispersion.

Crystal structure
Lattice parameters (Å, degrees): 5.628 5.628 4.833 90.00 90.00 90.00
Positions (direct):
Cs1 0.000 0.000 0.000
Al1 0.500 0.500 0.000
Te1 0.000 0.500 0.500
Te2 0.500 0.000 0.500
Ir1 0.500 0.500 0.500

Principal peaks in the range 2θ = 10–90°, by intensity:
| d [Å] | I (rel.) |
| --- | --- |
| 2.814 | 100.0 |
| 3.666 | 95.1 |
| 1.833 | 56.9 |
| 2.232 | 50.2 |
| 4.833 | 42.2 |
| 1.990 | 36.7 |
| 3.072 | 34.1 |
| 2.416 | 32.6 |



11.
Diffraction record for Cs6K3AlSb4. The X-ray diffraction stick pattern is calculated, not measured: it uses DFT lattice parameters and positions (PBE) and Cu Kα X-rays.
Neutral-atom scattering factors, no anomalous dispersion.

Crystal structure
Lattice parameters (Å, degrees): 11.167 11.167 11.692 90.00 90.00 120.00
Positions (direct):
Cs1 0.209 0.418 0.044
Cs2 0.209 0.418 0.456
Cs3 0.209 0.791 0.044
Cs4 0.209 0.791 0.456
Cs5 0.418 0.209 0.544
Cs6 0.418 0.209 0.956
Cs7 0.582 0.791 0.044
Cs8 0.582 0.791 0.456
Cs9 0.791 0.209 0.544
Cs10 0.791 0.209 0.956
Cs11 0.791 0.582 0.544
Cs12 0.791 0.582 0.956
K1 0.120 0.239 0.750
K2 0.120 0.880 0.750
K3 0.239 0.120 0.250
K4 0.761 0.880 0.750
K5 0.880 0.120 0.250
K6 0.880 0.761 0.250
Al1 0.333 0.667 0.750
Al2 0.667 0.333 0.250
Sb1 0.000 0.000 0.000
Sb2 0.000 0.000 0.500
Sb3 0.056 0.528 0.750
Sb4 0.472 0.528 0.750
Sb5 0.472 0.944 0.750
Sb6 0.528 0.056 0.250
Sb7 0.528 0.472 0.250
Sb8 0.944 0.472 0.250

Principal peaks in the range 2θ = 10–90°, by intensity:
| d [Å] | I (rel.) |
| --- | --- |
| 3.101 | 100.0 |
| 3.726 | 24.9 |
| 3.655 | 22.2 |
| 3.615 | 20.5 |
| 1.928 | 20.2 |
| 1.893 | 18.5 |
| 1.836 | 18.0 |
| 2.792 | 14.5 |



12.
Diffraction record for Cs4K2AlSb2. The X-ray diffraction stick pattern is calculated, not measured: it uses DFT lattice parameters and positions (PBE) and Cu Kα X-rays.
Neutral-atom scattering factors, no anomalous dispersion.

Crystal structure
Lattice parameters (Å, degrees): 9.711 9.711 6.169 101.95 101.95 76.53
Positions (direct):
Cs1 0.063 0.655 0.791
Cs2 0.345 0.937 0.209
Cs3 0.655 0.063 0.791
Cs4 0.937 0.345 0.209
K1 0.389 0.389 0.213
K2 0.611 0.611 0.787
Al1 0.000 0.000 0.500
Sb1 0.169 0.169 0.719
Sb2 0.831 0.831 0.281

Principal peaks in the range 2θ = 10–90°, by intensity:
| d [Å] | I (rel.) |
| --- | --- |
| 4.006 | 100.0 |
| 3.401 | 75.1 |
| 3.351 | 47.3 |
| 3.677 | 36.2 |
| 2.975 | 27.1 |
| 4.540 | 27.0 |
| 1.817 | 24.0 |
| 3.075 | 20.3 |